[1]
This entry pairs a crystal structure of KReP3 with its theoretical powder X-ray diffraction pattern. Radiation: Cu Kα, 1.54184 Å. Structure: the PBE geometry in Alexandria.

Crystal structure
abc: 4.747 4.747 4.747
angles: 90.00 90.00 90.00
Element x y z (fractional)
K: 0.000 0.000 0.000
Re: 0.500 0.500 0.500
P: 0.000 0.500 0.500
P: 0.500 0.000 0.500
P: 0.500 0.500 0.000

Top 10 peaks for 2θ = 15–90°, in order of falling intensity:
2θ (°)	Rel. int.
26.56	100
18.69	94
37.91	52
42.59	46
46.88	43
54.69	35
58.32	24
74.84	21
61.81	19
84.08	14


[2]
This entry pairs a crystal structure of KReP2 with its theoretical powder X-ray diffraction pattern. Radiation: Cu Kα, 1.54184 Å. Structure: the PBE geometry in Alexandria.

Crystal structure
abc: 7.759 7.759 7.759
angles: 134.17 134.17 66.82
Element x y z (fractional)
K: 0.375 0.625 0.750
K: 0.625 0.375 0.250
Re: 0.125 0.875 0.250
Re: 0.875 0.125 0.750
P: 0.000 0.000 0.000
P: 0.000 0.000 0.500
P: 0.000 0.500 0.000
P: 0.500 0.000 0.500

Top 10 peaks for 2θ = 15–90°, in order of falling intensity:
2θ (°)	Rel. int.
24.97	100
16.19	96
29.57	32
49.76	30
40.85	27
51.23	22
39.34	21
47.17	18
65.21	13
48.69	11


[3]
This entry pairs a crystal structure of KRe2TeP with its theoretical powder X-ray diffraction pattern. Radiation: Cu Kα, 1.54184 Å. Structure: the PBE geometry in Alexandria.

Crystal structure
abc: 4.740 4.740 5.647
angles: 90.00 90.00 90.00
Element x y z (fractional)
K: 0.000 0.000 0.000
Re: 0.000 0.500 0.000
Re: 0.500 0.000 0.000
Te: 0.000 0.000 0.500
P: 0.500 0.500 0.500

Top 10 peaks for 2θ = 15–90°, in order of falling intensity:
2θ (°)	Rel. int.
31.03	100
37.97	40
50.26	35
15.69	34
31.69	32
64.30	25
56.03	19
64.68	16
54.78	14
18.72	14


[4]
This entry pairs a crystal structure of K3P5RuSe10 with its theoretical powder X-ray diffraction pattern. Radiation: Cu Kα, 1.54184 Å. Structure: the PBE geometry in Alexandria.

Crystal structure
abc: 11.367 7.407 12.802
angles: 90.00 92.86 90.00
Element x y z (fractional)
K: 0.020 0.250 0.116
K: 0.406 0.250 0.573
K: 0.474 0.750 0.892
K: 0.526 0.250 0.108
K: 0.594 0.750 0.427
K: 0.980 0.750 0.884
P: 0.024 0.520 0.417
P: 0.024 0.980 0.417
P: 0.220 0.750 0.095
P: 0.223 0.750 0.556
P: 0.362 0.750 0.226
P: 0.638 0.250 0.774
P: 0.777 0.250 0.444
P: 0.780 0.250 0.905
P: 0.976 0.020 0.583
P: 0.976 0.480 0.583
Ru: 0.150 0.750 0.386
Ru: 0.850 0.250 0.614
Se: 0.059 0.750 0.192
Se: 0.121 0.250 0.379
Se: 0.159 0.509 0.659
Se: 0.159 0.991 0.659
Se: 0.237 0.503 0.005
Se: 0.237 0.997 0.005
Se: 0.314 0.524 0.331
Se: 0.314 0.976 0.331
Se: 0.406 0.750 0.617
Se: 0.465 0.250 0.836
Se: 0.535 0.750 0.164
Se: 0.594 0.250 0.383
Se: 0.686 0.024 0.669
Se: 0.686 0.476 0.669
Se: 0.763 0.003 0.995
Se: 0.763 0.497 0.995
Se: 0.841 0.009 0.341
Se: 0.841 0.491 0.341
Se: 0.879 0.750 0.621
Se: 0.941 0.250 0.808

Top 10 peaks for 2θ = 15–90°, in order of falling intensity:
2θ (°)	Rel. int.
29.44	100
31.98	99
26.78	67
28.78	39
20.84	34
35.30	32
49.20	30
31.72	29
31.43	23
43.10	22


Repeat the second record exactly.
This entry pairs a crystal structure of KReP2 with its theoretical powder X-ray diffraction pattern. Radiation: Cu Kα, 1.54184 Å. Structure: the PBE geometry in Alexandria.

Crystal structure
abc: 7.759 7.759 7.759
angles: 134.17 134.17 66.82
Element x y z (fractional)
K: 0.375 0.625 0.750
K: 0.625 0.375 0.250
Re: 0.125 0.875 0.250
Re: 0.875 0.125 0.750
P: 0.000 0.000 0.000
P: 0.000 0.000 0.500
P: 0.000 0.500 0.000
P: 0.500 0.000 0.500

Top 10 peaks for 2θ = 15–90°, in order of falling intensity:
2θ (°)	Rel. int.
24.97	100
16.19	96
29.57	32
49.76	30
40.85	27
51.23	22
39.34	21
47.17	18
65.21	13
48.69	11